Rb2SrV: calculated powder X-ray diffraction pattern (Cu Kα (λ = 1.5418 Å)), based on a GGA-PBE-relaxed structure.

Cell and atoms:
Unit cell a=9.401 b=9.401 c=9.401 alpha=90.00 beta=90.00 gamma=90.00
Space group Fm-3m (No. 225)
Symmetry-distinct sites (fractional):
Rb  0.250  0.250  0.250 [8 per cell]
Sr  0.000  0.000  0.000 [4 per cell]
V  0.000  0.000  0.500 [4 per cell]

The 8 most intense peaks (2θ = 10–80°), sorted by position:
16.33°, I = 3; 26.82°, I = 100; 38.29°, I = 19; 47.37°, I = 40; 55.27°, I = 13; 62.48°, I = 17; 69.24°, I = 4; 75.70°, I = 20